Simulated X-ray powder pattern
Compound: CdBr2Cl
Radiation: Cu Kα X-rays
Structure: the PBE geometry in Alexandria
Neutral-atom scattering factors, no anomalous dispersion.

Top 10 peaks for 10° ≤ 2θ ≤ 90°, low angle first:
2theta  d/Å  I_rel
13.27  6.670  1000
18.53  4.787  624
26.77  3.330  381
32.09  2.790  669
34.99  2.564  360
35.65  2.518  169
38.64  2.330  397
42.24  2.140  254
47.32  1.921  160
47.61  1.910  177

```
CdBr2Cl
1.0
5.333 0.000 0.000
0.000 13.340 0.000
-1.096 0.000 3.842
Cd Br Cl
2 4 2
Direct
0.000 0.000 0.000
0.500 0.500 0.000
0.000 0.147 0.500
0.000 0.615 0.000
0.500 0.115 0.000
0.500 0.647 0.500
0.000 0.881 0.500
0.500 0.381 0.500
```

***

Simulated X-ray powder pattern
Compound: UAg2Cl6
Radiation: Cu Kα X-rays
Structure: the PBE geometry in Alexandria
Neutral-atom scattering factors, no anomalous dispersion.

Top 10 peaks for 10° ≤ 2θ ≤ 90°, low angle first:
2theta  d/Å  I_rel
15.47  5.729  1000
23.95  3.715  190
25.66  3.471  340
27.88  3.201  426
30.10  2.969  147
38.25  2.353  230
38.59  2.333  416
39.96  2.256  156
45.25  2.004  253
46.63  1.948  246

```
UAg2Cl6
1.0
3.471 2.004 6.301
-3.471 2.004 6.301
0.000 -4.008 6.301
U Ag Cl
1 2 6
Direct
0.000 0.000 0.000
0.192 0.192 0.192
0.808 0.808 0.808
0.088 0.776 0.386
0.224 0.614 0.912
0.386 0.088 0.776
0.614 0.912 0.224
0.776 0.386 0.088
0.912 0.224 0.614
```

***

Simulated X-ray powder pattern
Compound: Mg3AlPd3
Radiation: Cu Kα X-rays
Structure: the PBE geometry in Alexandria
Neutral-atom scattering factors, no anomalous dispersion.

Top 10 peaks for 10° ≤ 2θ ≤ 90°, low angle first:
2theta  d/Å  I_rel
19.84  4.476  420
20.31  4.373  371
28.54  3.128  675
35.28  2.544  190
40.30  2.238  1000
41.29  2.187  933
59.06  1.564  317
72.59  1.302  168
74.61  1.272  310
75.27  1.262  151

```
Mg3AlPd3
1.0
4.373 2.525 1.849
-4.373 2.525 1.849
0.000 -5.050 1.849
Mg Al Pd
3 1 3
Direct
0.000 0.500 0.500
0.500 0.000 0.500
0.500 0.500 0.000
0.999 0.999 0.999
0.000 0.000 0.500
0.000 0.500 0.000
0.500 0.000 0.000
```

***

Simulated X-ray powder pattern
Compound: Ho2NiGe4Rh3
Radiation: Cu Kα X-rays
Structure: the PBE geometry in Alexandria
Neutral-atom scattering factors, no anomalous dispersion.

Top 10 peaks for 10° ≤ 2θ ≤ 90°, low angle first:
2theta  d/Å  I_rel
30.66  2.916  209
33.96  2.640  706
35.37  2.538  1000
43.91  2.062  594
49.42  1.844  336
56.64  1.625  324
63.85  1.458  192
68.23  1.375  252
75.15  1.264  217
89.73  1.093  146

```
Ho2NiGe4Rh3
1.0
4.124 0.000 0.000
0.000 4.124 0.000
0.000 0.000 10.310
Ho Ni Ge Rh
2 1 4 3
Direct
0.000 0.500 0.249
0.500 0.000 0.751
0.000 0.000 0.500
0.000 0.000 0.000
0.000 0.500 0.630
0.500 0.000 0.370
0.500 0.500 0.000
0.000 0.500 0.865
0.500 0.000 0.135
0.500 0.500 0.500
```

***

Simulated X-ray powder pattern
Compound: TbYScPd
Radiation: Cu Kα X-rays
Structure: the PBE geometry in Alexandria
Neutral-atom scattering factors, no anomalous dispersion.

Top 10 peaks for 10° ≤ 2θ ≤ 90°, low angle first:
2theta  d/Å  I_rel
21.04  4.223  120
24.34  3.657  68
34.69  2.586  1000
40.92  2.206  68
49.87  1.829  175
54.70  1.678  30
56.24  1.636  30
62.17  1.493  356
73.19  1.293  108
83.60  1.157  153

```
TbYScPd
1.0
7.315 0.000 0.000
0.000 7.315 0.000
0.000 0.000 7.315
Tb Y Sc Pd
4 4 4 4
Direct
0.000 0.000 0.000
0.000 0.500 0.500
0.500 0.000 0.500
0.500 0.500 0.000
0.000 0.000 0.500
0.000 0.500 0.000
0.500 0.000 0.000
0.500 0.500 0.500
0.250 0.250 0.250
0.250 0.750 0.750
0.750 0.250 0.750
0.750 0.750 0.250
0.250 0.250 0.750
0.250 0.750 0.250
0.750 0.250 0.250
0.750 0.750 0.750
```